This entry pairs a crystal structure of Ac2GdAs with its calculated PXRD pattern. Radiation: Cu Kα X-rays. Structure: a PBE-relaxed structure.

Cell and atoms:
Cell lengths 4.2085, 4.2085, 30.5158 Å; angles 90.00, 90.00, 120.00 degrees
Space group R-3m (No. 166, hexagonal axes)
Inequivalent atoms, fractional coordinates:
1 Ac 0.0000 0.0000 0.2304 x6
2 Gd 0.0000 0.0000 0.0000 x3
3 As 0.0000 0.0000 0.5000 x3

Top 6 peaks for 10° ≤ 2θ ≤ 90°, in order of rising 2θ:
- hkl 0 0 9, 26.28°, intensity 207
- hkl 1 0 4, 27.11°, intensity 1000
- hkl 0 1 5, 28.53°, intensity 250
- hkl 0 1 8, 34.02°, intensity 328
- hkl 1 1 0, 42.98°, intensity 347
- hkl 1 1 9, 51.09°, intensity 210